[1]
This entry pairs a crystal structure of Li2InAg7Sb2 with its simulated powder X-ray diffraction pattern. Radiation: Cu Kα. Structure: a cell relaxed with GGA-PBE.
Peak positions follow from Bragg's law for the DFT cell and can differ from measured ones.

Structural model:
```
data_Li2InAg7Sb2
_chemical_formula_sum 'Li4 In2 Ag14 Sb4'
_cell_length_a 5.9202
_cell_length_b 6.0026
_cell_length_c 13.2360
_cell_angle_alpha 90.00
_cell_angle_beta 90.00
_cell_angle_gamma 90.00
_space_group_name_H-M_alt 'C m m m'
_space_group_IT_number 65
_space_group_name_Hall '-C 2 2'
loop_
_atom_site_label
_atom_site_type_symbol
_atom_site_fract_x
_atom_site_fract_y
_atom_site_fract_z
Li1 Li 0.0000 0.0000 0.1859
In1 In 0.0000 0.5000 0.5000
Ag1 Ag 0.0000 0.0000 0.5000
Ag2 Ag 0.2437 0.0000 0.0000
Ag3 Ag 0.2500 0.2500 0.3385
Sb1 Sb 0.0000 0.5000 0.1848
```

Top 12 peaks for 2θ = 10–80°, in order of rising 2θ:
4.215 Å, 21.08 deg, I 16
3.048 Å, 29.30 deg, I 15
2.927 Å, 30.54 deg, I 14
2.733 Å, 32.76 deg, I 24
2.482 Å, 36.20 deg, I 38
2.458 Å, 36.56 deg, I 100
2.223 Å, 40.58 deg, I 29
2.206 Å, 40.91 deg, I 37
2.108 Å, 42.91 deg, I 24
2.081 Å, 43.48 deg, I 32
1.407 Å, 66.43 deg, I 17
1.281 Å, 74.01 deg, I 24

[2]
This entry pairs a crystal structure of Li4SmIn2Ag with its simulated powder X-ray diffraction pattern. Radiation: Cu Kα. Structure: a cell relaxed with GGA-PBE.
Peak positions follow from Bragg's law for the DFT cell and can differ from measured ones.

Structural model:
```
data_Li4SmIn2Ag
_chemical_formula_sum 'Li12 Sm3 In6 Ag3'
_cell_length_a 4.8571
_cell_length_b 4.8571
_cell_length_c 23.5451
_cell_angle_alpha 90.00
_cell_angle_beta 90.00
_cell_angle_gamma 120.00
_space_group_name_H-M_alt 'R -3 m'
_space_group_IT_number 166
_space_group_name_Hall '-R 3 2"'
loop_
_atom_site_label
_atom_site_type_symbol
_atom_site_fract_x
_atom_site_fract_y
_atom_site_fract_z
Li1 Li 0.0000 0.0000 0.1088
Li2 Li 0.0000 0.0000 0.3638
Sm1 Sm 0.0000 0.0000 0.5000
In1 In 0.0000 0.0000 0.2423
Ag1 Ag 0.0000 0.0000 0.0000
```

Top 12 peaks for 2θ = 10–80°, in order of rising 2θ:
3.422 Å, 26.04 deg, I 100
2.429 Å, 37.02 deg, I 47
2.411 Å, 37.29 deg, I 42
1.981 Å, 45.82 deg, I 21
1.962 Å, 46.27 deg, I 6
1.711 Å, 53.55 deg, I 15
1.535 Å, 60.30 deg, I 18
1.526 Å, 60.68 deg, I 16
1.402 Å, 66.71 deg, I 8
1.399 Å, 66.89 deg, I 15
1.389 Å, 67.42 deg, I 6
1.214 Å, 78.82 deg, I 5

[3]
This entry pairs a crystal structure of Li2InAg7Sn2 with its simulated powder X-ray diffraction pattern. Radiation: Cu Kα. Structure: a cell relaxed with GGA-PBE.
Peak positions follow from Bragg's law for the DFT cell and can differ from measured ones.

Structural model:
```
data_Li2InAg7Sn2
_chemical_formula_sum 'Li4 In2 Ag14 Sn4'
_cell_length_a 5.8399
_cell_length_b 5.9315
_cell_length_c 13.4440
_cell_angle_alpha 90.00
_cell_angle_beta 90.00
_cell_angle_gamma 90.00
_space_group_name_H-M_alt 'C m m m'
_space_group_IT_number 65
_space_group_name_Hall '-C 2 2'
loop_
_atom_site_label
_atom_site_type_symbol
_atom_site_fract_x
_atom_site_fract_y
_atom_site_fract_z
Li1 Li 0.0000 0.0000 0.1861
In1 In 0.0000 0.5000 0.5000
Ag1 Ag 0.0000 0.0000 0.5000
Ag2 Ag 0.2452 0.0000 0.0000
Ag3 Ag 0.2500 0.2500 0.3373
Sn1 Sn 0.0000 0.5000 0.1824
```

Top 12 peaks for 2θ = 10–80°, in order of rising 2θ:
4.161 Å, 21.35 deg, I 16
2.713 Å, 33.01 deg, I 25
2.473 Å, 36.32 deg, I 38
2.446 Å, 36.74 deg, I 100
2.241 Å, 40.25 deg, I 36
2.224 Å, 40.57 deg, I 27
2.081 Å, 43.49 deg, I 24
2.056 Å, 44.04 deg, I 30
1.525 Å, 60.75 deg, I 16
1.411 Å, 66.22 deg, I 16
1.268 Å, 74.88 deg, I 24
1.224 Å, 78.10 deg, I 16

[4]
This entry pairs a crystal structure of Li2TbIn2Ag2 with its simulated powder X-ray diffraction pattern. Radiation: Cu Kα. Structure: a cell relaxed with GGA-PBE.
Peak positions follow from Bragg's law for the DFT cell and can differ from measured ones.

Structural model:
```
data_Li2TbIn2Ag2
_chemical_formula_sum 'Li6 Tb3 In6 Ag6'
_cell_length_a 4.8290
_cell_length_b 4.8290
_cell_length_c 21.6876
_cell_angle_alpha 90.00
_cell_angle_beta 90.00
_cell_angle_gamma 120.00
_space_group_name_H-M_alt 'R -3 m'
_space_group_IT_number 166
_space_group_name_Hall '-R 3 2"'
loop_
_atom_site_label
_atom_site_type_symbol
_atom_site_fract_x
_atom_site_fract_y
_atom_site_fract_z
Li1 Li 0.0000 0.0000 0.1423
Tb1 Tb 0.0000 0.0000 0.0000
In1 In 0.0000 0.0000 0.2688
Ag1 Ag 0.0000 0.0000 0.4259
```

Top 12 peaks for 2θ = 10–80°, in order of rising 2θ:
7.229 Å, 12.24 deg, I 44
3.615 Å, 24.63 deg, I 13
3.311 Å, 26.92 deg, I 51
3.011 Å, 29.67 deg, I 15
2.489 Å, 36.08 deg, I 88
2.414 Å, 37.24 deg, I 100
2.290 Å, 39.34 deg, I 16
2.008 Å, 45.16 deg, I 14
1.733 Å, 52.82 deg, I 29
1.447 Å, 64.40 deg, I 14
1.408 Å, 66.40 deg, I 28
1.394 Å, 67.15 deg, I 17

[5]
This entry pairs a crystal structure of Li3Zn2In2Ag4 with its simulated powder X-ray diffraction pattern. Radiation: Cu Kα. Structure: a cell relaxed with GGA-PBE.
Peak positions follow from Bragg's law for the DFT cell and can differ from measured ones.

Structural model:
```
data_Li3Zn2In2Ag4
_chemical_formula_sum 'Li3 Zn2 In2 Ag4'
_cell_length_a 4.5688
_cell_length_b 4.5688
_cell_length_c 10.9501
_cell_angle_alpha 90.00
_cell_angle_beta 90.00
_cell_angle_gamma 120.00
_space_group_name_H-M_alt 'P -3 m 1'
_space_group_IT_number 164
_space_group_name_Hall '-P 3 2"'
loop_
_atom_site_label
_atom_site_type_symbol
_atom_site_fract_x
_atom_site_fract_y
_atom_site_fract_z
Li1 Li 0.0000 0.0000 0.0000
Li2 Li 0.0000 0.0000 0.3638
Zn1 Zn 0.3333 0.6667 0.6850
In1 In 0.3333 0.6667 0.1886
Ag1 Ag 0.3333 0.6667 0.4441
Ag2 Ag 0.3333 0.6667 0.9287
```

Top 12 peaks for 2θ = 10–80°, in order of rising 2θ:
3.957 Å, 22.47 deg, I 72
3.721 Å, 23.91 deg, I 3
2.683 Å, 33.40 deg, I 4
2.284 Å, 39.45 deg, I 74
2.251 Å, 40.05 deg, I 100
1.978 Å, 45.87 deg, I 11
1.603 Å, 57.47 deg, I 33
1.496 Å, 62.06 deg, I 8
1.369 Å, 68.56 deg, I 4
1.319 Å, 71.54 deg, I 12
1.312 Å, 71.95 deg, I 33
1.294 Å, 73.16 deg, I 5

[6]
This entry pairs a crystal structure of Mg2InAg4 with its simulated powder X-ray diffraction pattern. Radiation: Cu Kα. Structure: a cell relaxed with GGA-PBE.
Peak positions follow from Bragg's law for the DFT cell and can differ from measured ones.

Structural model:
```
data_Mg2InAg4
_chemical_formula_sum 'Mg4 In2 Ag8'
_cell_length_a 5.7554
_cell_length_b 10.0040
_cell_length_c 5.6628
_cell_angle_alpha 90.00
_cell_angle_beta 119.28
_cell_angle_gamma 90.00
_space_group_name_H-M_alt 'P 1 21/c 1'
_space_group_IT_number 14
_space_group_name_Hall '-P 2ybc'
loop_
_atom_site_label
_atom_site_type_symbol
_atom_site_fract_x
_atom_site_fract_y
_atom_site_fract_z
Mg1 Mg 0.1575 0.0023 0.3288
In1 In 0.5000 0.0000 0.0000
Ag1 Ag 0.0084 0.2461 0.9413
Ag2 Ag 0.4912 0.7172 0.0899
```

Top 12 peaks for 2θ = 10–80°, in order of rising 2θ:
5.004 Å, 17.73 deg, I 100
2.762 Å, 32.41 deg, I 48
2.510 Å, 35.77 deg, I 67
2.501 Å, 35.91 deg, I 68
2.467 Å, 36.42 deg, I 53
2.398 Å, 37.51 deg, I 49
2.391 Å, 37.61 deg, I 56
2.243 Å, 40.20 deg, I 36
2.180 Å, 41.41 deg, I 46
1.983 Å, 45.76 deg, I 48
1.772 Å, 51.59 deg, I 35
1.756 Å, 52.08 deg, I 32

[7]
This entry pairs a crystal structure of Mg4In3Ag with its simulated powder X-ray diffraction pattern. Radiation: Cu Kα. Structure: a cell relaxed with GGA-PBE.
Peak positions follow from Bragg's law for the DFT cell and can differ from measured ones.

Structural model:
```
data_Mg4In3Ag
_chemical_formula_sum 'Mg4 In3 Ag1'
_cell_length_a 3.2418
_cell_length_b 3.2418
_cell_length_c 16.9057
_cell_angle_alpha 90.00
_cell_angle_beta 90.00
_cell_angle_gamma 90.00
_space_group_name_H-M_alt 'P 4/m m m'
_space_group_IT_number 123
_space_group_name_Hall '-P 4 2'
loop_
_atom_site_label
_atom_site_type_symbol
_atom_site_fract_x
_atom_site_fract_y
_atom_site_fract_z
Mg1 Mg 0.0000 0.0000 0.1043
Mg2 Mg 0.0000 0.0000 0.3672
In1 In 0.5000 0.5000 0.2360
In2 In 0.5000 0.5000 0.5000
Ag1 Ag 0.5000 0.5000 0.0000
```

Top 12 peaks for 2θ = 10–80°, in order of rising 2θ:
4.226 Å, 21.02 deg, I 38
3.242 Å, 27.51 deg, I 41
2.572 Å, 34.88 deg, I 100
2.292 Å, 39.30 deg, I 39
2.113 Å, 42.79 deg, I 11
2.015 Å, 44.99 deg, I 20
1.770 Å, 51.63 deg, I 12
1.621 Å, 56.80 deg, I 13
1.554 Å, 59.49 deg, I 16
1.513 Å, 61.25 deg, I 8
1.371 Å, 68.41 deg, I 26
1.286 Å, 73.66 deg, I 8

[8]
This entry pairs a crystal structure of Mg6In5Ag with its simulated powder X-ray diffraction pattern. Radiation: Cu Kα. Structure: a cell relaxed with GGA-PBE.
Peak positions follow from Bragg's law for the DFT cell and can differ from measured ones.

Structural model:
```
data_Mg6In5Ag
_chemical_formula_sum 'Mg12 In10 Ag2'
_cell_length_a 4.5981
_cell_length_b 13.7220
_cell_length_c 8.5716
_cell_angle_alpha 90.00
_cell_angle_beta 90.00
_cell_angle_gamma 90.00
_space_group_name_H-M_alt 'C m m m'
_space_group_IT_number 65
_space_group_name_Hall '-C 2 2'
loop_
_atom_site_label
_atom_site_type_symbol
_atom_site_fract_x
_atom_site_fract_y
_atom_site_fract_z
Mg1 Mg 0.0000 0.0000 0.2417
Mg2 Mg 0.0000 0.3358 0.2395
In1 In 0.0000 0.1599 0.0000
In2 In 0.0000 0.1681 0.5000
In3 In 0.0000 0.5000 0.5000
Ag1 Ag 0.0000 0.5000 0.0000
```

Top 12 peaks for 2θ = 10–80°, in order of rising 2θ:
4.286 Å, 20.73 deg, I 37
3.243 Å, 27.51 deg, I 37
2.586 Å, 34.69 deg, I 100
2.299 Å, 39.18 deg, I 18
2.287 Å, 39.40 deg, I 17
2.143 Å, 42.17 deg, I 14
1.788 Å, 51.09 deg, I 13
1.621 Å, 56.78 deg, I 11
1.376 Å, 68.13 deg, I 13
1.371 Å, 68.42 deg, I 12
1.307 Å, 72.27 deg, I 11
1.293 Å, 73.20 deg, I 10

[9]
This entry pairs a crystal structure of Mg2In3Ag with its simulated powder X-ray diffraction pattern. Radiation: Cu Kα. Structure: a cell relaxed with GGA-PBE.
Peak positions follow from Bragg's law for the DFT cell and can differ from measured ones.

Structural model:
```
data_Mg2In3Ag
_chemical_formula_sum 'Mg2 In3 Ag1'
_cell_length_a 3.2167
_cell_length_b 4.5436
_cell_length_c 9.6415
_cell_angle_alpha 90.00
_cell_angle_beta 90.00
_cell_angle_gamma 90.00
_space_group_name_H-M_alt 'P m m 2'
_space_group_IT_number 25
_space_group_name_Hall 'P 2 -2'
loop_
_atom_site_label
_atom_site_type_symbol
_atom_site_fract_x
_atom_site_fract_y
_atom_site_fract_z
Mg1 Mg 0.0000 0.0000 0.0000
Mg2 Mg 0.0000 0.5000 0.4392
In1 In 0.5000 0.0000 0.6170
In2 In 0.5000 0.5000 0.1463
In3 In 0.5000 0.5000 0.8219
Ag1 Ag 0.5000 0.0000 0.3211
```

Top 12 peaks for 2θ = 10–80°, in order of rising 2θ:
4.110 Å, 21.62 deg, I 59
3.217 Å, 27.73 deg, I 63
2.676 Å, 33.49 deg, I 21
2.624 Å, 34.17 deg, I 100
2.533 Å, 35.44 deg, I 74
2.272 Å, 39.67 deg, I 39
2.033 Å, 44.56 deg, I 63
1.929 Å, 47.12 deg, I 23
1.856 Å, 49.09 deg, I 25
1.608 Å, 57.31 deg, I 21
1.371 Å, 68.44 deg, I 40
1.312 Å, 71.95 deg, I 19

[10]
This entry pairs a crystal structure of Mg6In2Ag with its simulated powder X-ray diffraction pattern. Radiation: Cu Kα. Structure: a cell relaxed with GGA-PBE.
Peak positions follow from Bragg's law for the DFT cell and can differ from measured ones.

Structural model:
```
data_Mg6In2Ag
_chemical_formula_sum 'Mg12 In4 Ag2'
_cell_length_a 9.8728
_cell_length_b 4.4414
_cell_length_c 9.4449
_cell_angle_alpha 90.00
_cell_angle_beta 107.31
_cell_angle_gamma 90.00
_space_group_name_H-M_alt 'C 1 2/m 1'
_space_group_IT_number 12
_space_group_name_Hall '-C 2y'
loop_
_atom_site_label
_atom_site_type_symbol
_atom_site_fract_x
_atom_site_fract_y
_atom_site_fract_z
Mg1 Mg 0.0026 0.0000 0.1771
Mg2 Mg 0.1643 0.5000 0.0541
Mg3 Mg 0.1651 0.5000 0.3979
In1 In 0.1676 0.5000 0.7237
Ag1 Ag 0.0000 0.0000 0.5000
```

Top 12 peaks for 2θ = 10–80°, in order of rising 2θ:
4.805 Å, 18.47 deg, I 25
3.886 Å, 22.88 deg, I 14
3.508 Å, 25.39 deg, I 25
2.827 Å, 31.65 deg, I 12
2.567 Å, 34.96 deg, I 100
2.250 Å, 40.07 deg, I 21
2.221 Å, 40.63 deg, I 16
2.199 Å, 41.04 deg, I 16
1.581 Å, 58.39 deg, I 13
1.563 Å, 59.12 deg, I 10
1.352 Å, 69.54 deg, I 12
1.339 Å, 70.28 deg, I 12

[11]
This entry pairs a crystal structure of Mg3In2Ag3 with its simulated powder X-ray diffraction pattern. Radiation: Cu Kα. Structure: a cell relaxed with GGA-PBE.
Peak positions follow from Bragg's law for the DFT cell and can differ from measured ones.

Structural model:
```
data_Mg3In2Ag3
_chemical_formula_sum 'Mg6 In4 Ag6'
_cell_length_a 4.9673
_cell_length_b 12.3786
_cell_length_c 5.2036
_cell_angle_alpha 90.00
_cell_angle_beta 90.00
_cell_angle_gamma 90.00
_space_group_name_H-M_alt 'P m m n'
_space_group_IT_number 59
loop_
_space_group_symop_operation_xyz
'x,y,z'
'-x,-y,-z'
'-x+1/2,-y+1/2,z'
'x+1/2,y+1/2,-z'
'x+1/2,-y,-z'
'-x+1/2,y,z'
'-x,y+1/2,-z'
'x,-y+1/2,z'
loop_
_atom_site_label
_atom_site_type_symbol
_atom_site_fract_x
_atom_site_fract_y
_atom_site_fract_z
Mg1 Mg 0.2500 0.1217 0.1788
Mg2 Mg 0.2500 0.7500 0.6581
In1 In 0.2500 0.6218 0.1676
Ag1 Ag 0.2500 0.2500 0.6545
Ag2 Ag 0.2500 0.5011 0.6671
```

Top 12 peaks for 2θ = 10–80°, in order of rising 2θ:
4.797 Å, 18.50 deg, I 32
3.174 Å, 28.11 deg, I 19
2.660 Å, 33.70 deg, I 25
2.484 Å, 36.17 deg, I 40
2.345 Å, 38.39 deg, I 100
2.305 Å, 39.08 deg, I 50
2.204 Å, 40.95 deg, I 14
1.815 Å, 50.26 deg, I 15
1.513 Å, 61.26 deg, I 16
1.406 Å, 66.52 deg, I 18
1.292 Å, 73.26 deg, I 18
1.285 Å, 73.75 deg, I 14

[12]
This entry pairs a crystal structure of Mg2InAg8 with its simulated powder X-ray diffraction pattern. Radiation: Cu Kα. Structure: a cell relaxed with GGA-PBE.
Peak positions follow from Bragg's law for the DFT cell and can differ from measured ones.

Structural model:
```
data_Mg2InAg8
_chemical_formula_sum 'Mg4 In2 Ag16'
_cell_length_a 13.7424
_cell_length_b 7.1875
_cell_length_c 4.4688
_cell_angle_alpha 90.00
_cell_angle_beta 108.64
_cell_angle_gamma 90.00
_space_group_name_H-M_alt 'C 1 2 1'
_space_group_IT_number 5
_space_group_name_Hall 'C 2y'
loop_
_atom_site_label
_atom_site_type_symbol
_atom_site_fract_x
_atom_site_fract_y
_atom_site_fract_z
Mg1 Mg 0.1503 0.0000 0.1497
In1 In 0.0000 0.4152 0.5000
Ag1 Ag 0.0000 0.0075 0.5000
Ag2 Ag 0.0000 0.7219 0.0000
Ag3 Ag 0.1518 0.4363 0.1511
Ag4 Ag 0.1557 0.7203 0.6563
Ag5 Ag 0.1960 0.2138 0.6952
```

Top 12 peaks for 2θ = 10–80°, in order of rising 2θ:
6.293 Å, 14.07 deg, I 13
3.795 Å, 23.44 deg, I 15
3.146 Å, 28.37 deg, I 13
2.477 Å, 36.27 deg, I 21
2.465 Å, 36.45 deg, I 21
2.357 Å, 38.18 deg, I 100
2.349 Å, 38.31 deg, I 82
2.234 Å, 40.37 deg, I 43
2.170 Å, 41.61 deg, I 27
1.797 Å, 50.81 deg, I 14
1.314 Å, 71.86 deg, I 12
1.310 Å, 72.12 deg, I 12

[13]
This entry pairs a crystal structure of MgInAg2 with its simulated powder X-ray diffraction pattern. Radiation: Cu Kα. Structure: a cell relaxed with GGA-PBE.
Peak positions follow from Bragg's law for the DFT cell and can differ from measured ones.

Structural model:
```
data_MgInAg2
_chemical_formula_sum 'Mg2 In2 Ag4'
_cell_length_a 6.0394
_cell_length_b 9.6813
_cell_length_c 3.0045
_cell_angle_alpha 90.00
_cell_angle_beta 115.14
_cell_angle_gamma 90.00
_space_group_name_H-M_alt 'C 1 2/m 1'
_space_group_IT_number 12
_space_group_name_Hall '-C 2y'
loop_
_atom_site_label
_atom_site_type_symbol
_atom_site_fract_x
_atom_site_fract_y
_atom_site_fract_z
Mg1 Mg 0.0000 0.0000 0.0000
In1 In 0.0000 0.5000 0.0000
Ag1 Ag 0.2500 0.2500 0.5000
```

Top 12 peaks for 2θ = 10–80°, in order of rising 2θ:
4.841 Å, 18.33 deg, I 16
4.761 Å, 18.64 deg, I 36
2.542 Å, 35.30 deg, I 61
2.420 Å, 37.15 deg, I 53
2.380 Å, 37.80 deg, I 100
2.371 Å, 37.95 deg, I 99
1.753 Å, 52.18 deg, I 38
1.437 Å, 64.91 deg, I 19
1.431 Å, 65.22 deg, I 19
1.390 Å, 67.39 deg, I 17
1.388 Å, 67.49 deg, I 17
1.344 Å, 70.03 deg, I 15

[14]
This entry pairs a crystal structure of MgIn5Ag8 with its simulated powder X-ray diffraction pattern. Radiation: Cu Kα. Structure: a cell relaxed with GGA-PBE.
Peak positions follow from Bragg's law for the DFT cell and can differ from measured ones.

Structural model:
```
data_MgIn5Ag8
_chemical_formula_sum 'Mg2 In10 Ag16'
_cell_length_a 7.8755
_cell_length_b 7.8755
_cell_length_c 9.7035
_cell_angle_alpha 90.00
_cell_angle_beta 90.00
_cell_angle_gamma 90.00
_space_group_name_H-M_alt 'I -4'
_space_group_IT_number 82
_space_group_name_Hall 'I -4'
loop_
_atom_site_label
_atom_site_type_symbol
_atom_site_fract_x
_atom_site_fract_y
_atom_site_fract_z
Mg1 Mg 0.0000 0.0000 0.0000
In1 In 0.0000 0.5000 0.7500
In2 In 0.1500 0.2349 0.4450
Ag1 Ag 0.0751 0.1581 0.7385
Ag2 Ag 0.0801 0.3195 0.1439
```

Top 12 peaks for 2θ = 10–80°, in order of rising 2θ:
3.057 Å, 29.21 deg, I 37
2.992 Å, 29.86 deg, I 38
2.534 Å, 35.42 deg, I 74
2.490 Å, 36.06 deg, I 58
2.382 Å, 37.76 deg, I 100
2.224 Å, 40.56 deg, I 30
2.216 Å, 40.72 deg, I 28
2.131 Å, 42.42 deg, I 64
1.810 Å, 50.41 deg, I 17
1.554 Å, 59.47 deg, I 20
1.472 Å, 63.18 deg, I 22
1.425 Å, 65.50 deg, I 21